Diffraction record for LaCr2SbO8. The powder diffractogram is calculated, not measured: it uses a cell relaxed with PBE+U and copper Kα.
Intensities are scaled so that the largest is 100.

Top 8 peaks for 10° ≤ 2θ ≤ 90°, by angle:
d (Å), I_rel
4.725, 62
3.685, 100
3.078, 69
2.955, 96
2.646, 70
2.298, 32
2.282, 32
2.069, 31

Cell and atoms:
```
LaCr2SbO8
1.0
3.7459 -3.0784 0.0000
3.7459 3.0784 0.0000
-1.2622 0.0000 6.9064
La Cr Sb O
1 2 1 8
Direct
0.0000 0.0000 0.0000
0.4387 0.4387 0.7697
0.5613 0.5613 0.2303
0.0000 0.0000 0.5000
0.2083 0.7656 0.2775
0.2344 0.7917 0.7225
0.2630 0.2630 0.5448
0.3324 0.3324 0.9789
0.6676 0.6676 0.0211
0.7370 0.7370 0.4552
0.7656 0.2083 0.2775
0.7917 0.2344 0.7225
```